Entry 1:
Structure and theoretical powder diffractogram of Br2Cl3 (DFT lattice parameters and positions (GGA-PBE); Cu Kα).

Top 10 peaks for 5 to 70 degrees two-theta, most intense first:
2θ/deg	I (rel.)	(hkl)
17.1	100	2 0 0
27.1	50	0 0 2
11.2	47	1 1 0
29.3	32	2 0 -2
37.8	29	1 5 0
34.8	28	2 0 2
19.8	23	0 2 1
27.9	22	2 2 1
46.1	18	1 5 -2
24.6	18	2 2 -1

Cell and atoms:
Cell: 10.5332 12.2388 6.7055 Å, 90.00 100.59 90.00°
Space group Cc (No. 9)
Symmetry-distinct sites (fractional):
Br1 0.0000 0.0853 0.0000 [4 per cell]
Br2 0.4598 0.2083 0.9878 [4 per cell]
Cl1 0.0754 0.1108 0.5202 [4 per cell]
Cl2 0.3754 0.0396 0.9658 [4 per cell]
Cl3 0.4497 0.2359 0.4860 [4 per cell]

---

Entry 2:
Structure and theoretical powder diffractogram of LaTmHf (DFT lattice parameters and positions (GGA-PBE); Cu Kα).

Top 10 peaks for 5 to 70 degrees two-theta, most intense first:
2θ/deg	I (rel.)	(hkl)
32.0	100	1 0 1
37.0	69	0 1 2
31.7	31	0 0 3
63.6	25	1 1 3
53.6	24	1 1 0
53.1	21	1 0 4
63.8	14	0 2 1
63.2	14	0 1 5
66.9	12	2 0 2
10.4	9	0 0 1

Cell and atoms:
Cell: 3.4206 3.4206 8.4783 Å, 90.00 90.00 120.00°
Space group P3m1 (No. 156)
Symmetry-distinct sites (fractional):
La1 0.0000 0.0000 0.0000 [1 per cell]
Tm1 0.3333 0.6667 0.6240 [1 per cell]
Hf1 0.6667 0.3333 0.3209 [1 per cell]

---

Entry 3:
Structure and theoretical powder diffractogram of Rb3Tb3US8 (DFT lattice parameters and positions (GGA-PBE); Cu Kα).

Top 10 peaks for 5 to 70 degrees two-theta, most intense first:
2θ/deg	I (rel.)	(hkl)
29.6	100	0 2 4
11.3	64	0 0 3
26.5	44	2 0 2
40.0	36	2 0 8
44.6	33	2 2 0
22.8	29	0 0 6
46.5	22	0 0 12
50.7	20	2 2 6
66.4	18	2 2 12
54.5	18	4 0 4

Cell and atoms:
Cell: 8.1222 8.1222 23.4551 Å, 90.00 90.00 120.00°
Space group R-3m (No. 166, hexagonal axes)
Symmetry-distinct sites (fractional):
Rb1 0.0000 0.5000 0.0000 [9 per cell]
Tb1 0.0000 0.5000 0.5000 [9 per cell]
U1 0.0000 0.0000 0.5000 [3 per cell]
S1 0.0000 0.0000 0.2303 [6 per cell]
S2 0.0067 0.5034 0.2287 [18 per cell]

---

Entry 4:
Structure and theoretical powder diffractogram of Ti4Mn3Rh (DFT lattice parameters and positions (GGA-PBE); Cu Kα).

Top 10 peaks for 5 to 70 degrees two-theta, most intense first:
2θ/deg	I (rel.)	(hkl)
42.5	100	1 1 2
41.9	26	0 2 0
42.9	24	0 0 4
61.6	15	0 2 4
61.7	8	2 0 0
29.7	7	0 1 2
10.5	6	0 0 1
23.2	2	0 1 1
38.0	2	1 1 1
20.6	2	0 1 0

Cell and atoms:
Cell: 3.0060 4.3083 8.4285 Å, 90.00 90.00 90.00°
Space group Pmmm (No. 47)
Symmetry-distinct sites (fractional):
Ti1 0.0000 0.0000 0.0000 [1 per cell]
Ti2 0.0000 0.0000 0.5000 [1 per cell]
Ti3 0.0000 0.5000 0.2382 [2 per cell]
Mn1 0.5000 0.0000 0.2491 [2 per cell]
Mn2 0.5000 0.5000 0.0000 [1 per cell]
Rh1 0.5000 0.5000 0.5000 [1 per cell]